Pr3Nd4Bi4: computed XRD peak list (Cu Ka), based on a GGA-PBE-relaxed structure.

Crystal structure
Cell: 10.5935 10.5935 10.5935 Å, 156.87 126.89 58.68°
Positions (direct):
Pr (0.0000, 0.0000, 0.0000)
Pr (0.4021, 0.9021, 0.5000)
Pr (0.5979, 0.0979, 0.5000)
Nd (0.0092, 0.3316, 0.6776)
Nd (0.3459, 0.6684, 0.6776)
Nd (0.6541, 0.3316, 0.3224)
Nd (0.9908, 0.6684, 0.3224)
Bi (0.2680, 0.2680, 0.0000)
Bi (0.2870, 0.5000, 0.7870)
Bi (0.7130, 0.5000, 0.2130)
Bi (0.7320, 0.7320, 0.0000)

Principal peaks in the range 10° ≤ 2θ ≤ 80°, most intense first:
d [Å]  Rel. int.
2.969  100
3.117  97
2.810  72
2.787  56
2.444  55
2.581  50
2.124  37
2.026  34
1.620  33
1.694  31



Pr5Nd5Bi6: computed XRD peak list (Cu Ka), based on a GGA-PBE-relaxed structure.

Crystal structure
Cell: 6.6273 9.5528 9.5528 Å, 119.90 90.00 90.00°
Positions (direct):
Pr (0.0000, 0.0000, 0.0000)
Pr (0.0000, 0.2482, 0.4950)
Pr (0.0000, 0.4950, 0.2482)
Pr (0.5000, 0.0011, 0.2480)
Pr (0.5000, 0.2480, 0.0011)
Nd (0.2500, 0.5814, 0.9152)
Nd (0.2500, 0.9152, 0.5814)
Nd (0.5000, 0.4963, 0.4963)
Nd (0.7500, 0.5814, 0.9152)
Nd (0.7500, 0.9152, 0.5814)
Bi (0.0000, 0.2481, 0.8597)
Bi (0.0000, 0.6363, 0.6363)
Bi (0.0000, 0.8597, 0.2481)
Bi (0.5000, 0.2490, 0.6361)
Bi (0.5000, 0.6361, 0.2490)
Bi (0.5000, 0.8590, 0.8590)

Principal peaks in the range 10° ≤ 2θ ≤ 80°, most intense first:
d [Å]  Rel. int.
2.829  100
2.723  78
2.759  56
3.314  25
2.169  23
1.805  22
3.128  22
1.481  20
1.938  18
1.657  15



Pr2Nd2Bi3: computed XRD peak list (Cu Ka), based on a GGA-PBE-relaxed structure.

Crystal structure
Cell: 8.4293 8.4293 8.4293 Å, 109.47 109.47 109.47°
Positions (direct):
Pr (0.0000, 0.1438, 0.5000)
Pr (0.1438, 0.5000, 0.0000)
Pr (0.3562, 0.3562, 0.3562)
Pr (0.5000, 0.0000, 0.1438)
Nd (0.0000, 0.6414, 0.5000)
Nd (0.5000, 0.0000, 0.6414)
Nd (0.6414, 0.5000, 0.0000)
Nd (0.8586, 0.8586, 0.8586)
Bi (0.1233, 0.8733, 0.2500)
Bi (0.2500, 0.1233, 0.8733)
Bi (0.3767, 0.6267, 0.7500)
Bi (0.6267, 0.7500, 0.3767)
Bi (0.7500, 0.3767, 0.6267)
Bi (0.8733, 0.2500, 0.1233)

Principal peaks in the range 10° ≤ 2θ ≤ 80°, most intense first:
d [Å]  Rel. int.
3.078  100
2.601  64
1.579  31
1.325  21
1.909  20
2.176  20
1.502  15
2.075  14
3.974  13
1.987  13



PrNdBiSb: computed XRD peak list (Cu Ka), based on a GGA-PBE-relaxed structure.

Crystal structure
Cell: 4.5841 4.5841 6.4750 Å, 90.00 90.00 90.00°
Positions (direct):
Pr (0.0000, 0.0000, 0.0000)
Nd (0.5000, 0.5000, 0.5000)
Bi (0.5000, 0.5000, 0.0000)
Sb (0.0000, 0.0000, 0.5000)

Principal peaks in the range 10° ≤ 2θ ≤ 80°, most intense first:
d [Å]  Rel. int.
3.240  100
2.291  78
1.449  37
1.871  28
1.323  27
1.620  13
4.584  3
6.475  3
2.899  2
2.644  2



NdBiPt5: computed XRD peak list (Cu Ka), based on a GGA-PBE-relaxed structure.

Crystal structure
Cell: 8.9530 5.5700 11.1001 Å, 90.00 90.00 90.00°
Positions (direct):
Nd (0.2416, 0.2500, 0.0513)
Nd (0.2584, 0.7500, 0.5513)
Nd (0.7416, 0.2500, 0.4487)
Nd (0.7584, 0.7500, 0.9487)
Bi (0.1373, 0.2500, 0.3539)
Bi (0.3627, 0.7500, 0.8539)
Bi (0.6373, 0.2500, 0.1461)
Bi (0.8627, 0.7500, 0.6461)
Pt (0.0793, 0.5033, 0.8117)
Pt (0.0793, 0.9967, 0.8117)
Pt (0.0863, 0.2500, 0.5930)
Pt (0.0908, 0.7500, 0.0243)
Pt (0.1670, 0.7500, 0.2663)
Pt (0.3330, 0.2500, 0.7663)
Pt (0.4092, 0.2500, 0.5243)
Pt (0.4137, 0.7500, 0.0930)
Pt (0.4207, 0.0033, 0.3117)
Pt (0.4207, 0.4967, 0.3117)
Pt (0.5793, 0.5033, 0.6883)
Pt (0.5793, 0.9967, 0.6883)
Pt (0.5863, 0.2500, 0.9070)
Pt (0.5908, 0.7500, 0.4757)
Pt (0.6670, 0.7500, 0.2337)
Pt (0.8330, 0.2500, 0.7337)
Pt (0.9092, 0.2500, 0.9757)
Pt (0.9137, 0.7500, 0.4070)
Pt (0.9207, 0.0033, 0.1883)
Pt (0.9207, 0.4967, 0.1883)

Principal peaks in the range 10° ≤ 2θ ≤ 80°, most intense first:
d [Å]  Rel. int.
2.158  100
2.560  87
2.172  72
2.313  68
2.651  56
2.194  35
2.539  34
2.785  26
1.280  26
2.032  22



Nd5Bi2Pt: computed XRD peak list (Cu Ka), based on a GGA-PBE-relaxed structure.

Crystal structure
Cell: 5.8638 5.8638 16.8325 Å, 90.00 90.00 118.27°
Positions (direct):
Nd (0.0764, 0.9236, 0.6041)
Nd (0.0764, 0.9236, 0.8959)
Nd (0.2486, 0.7514, 0.2500)
Nd (0.4135, 0.5865, 0.6165)
Nd (0.4135, 0.5865, 0.8835)
Nd (0.5865, 0.4135, 0.1165)
Nd (0.5865, 0.4135, 0.3835)
Nd (0.7514, 0.2486, 0.7500)
Nd (0.9236, 0.0764, 0.1041)
Nd (0.9236, 0.0764, 0.3959)
Bi (0.2591, 0.7409, 0.0609)
Bi (0.2591, 0.7409, 0.4391)
Bi (0.7409, 0.2591, 0.5609)
Bi (0.7409, 0.2591, 0.9391)
Pt (0.2251, 0.7749, 0.7500)
Pt (0.7749, 0.2251, 0.2500)

Principal peaks in the range 10° ≤ 2θ ≤ 80°, most intense first:
d [Å]  Rel. int.
2.598  100
3.008  81
3.228  42
2.887  40
2.805  34
5.033  30
2.201  30
2.820  29
2.051  28
1.646  26